[1]
Calculated powder diffraction line list of Eu4BPd12 for Cu Kα, 1.54184 Å, from a DFT-relaxed cell (GGA-PBE, Alexandria).
Neutral-atom scattering factors, no anomalous dispersion.

Crystal structure
```
data_Eu4BPd12
_chemical_formula_sum 'Eu4 B1 Pd12'
_cell_length_a 4.281
_cell_length_b 4.281
_cell_length_c 16.618
_cell_angle_alpha 90.00
_cell_angle_beta 90.00
_cell_angle_gamma 90.00
_space_group_name_H-M_alt 'P 4/m m m'
_space_group_IT_number 123
_space_group_name_Hall '-P 4 2'
loop_
_atom_site_label
_atom_site_fract_x
_atom_site_fract_y
_atom_site_fract_z
_atom_site_occupancy
Eu1 0.000 0.000 0.123 1
Eu2 0.000 0.000 0.368 1
B1 0.500 0.500 0.500 1
Pd1 0.000 0.500 0.000 1
Pd2 0.000 0.500 0.249 1
Pd3 0.000 0.500 0.500 1
Pd4 0.500 0.500 0.124 1
Pd5 0.500 0.500 0.371 1
```

Peak list (10 most intense, 2θ = 15–90°, by angle)
2theta	intensity	index
20.8	1	1 0 0
30.0	2	1 0 4
36.7	100	1 1 4
42.2	34	2 0 0
43.6	15	0 0 8
61.2	11	2 2 0
62.3	21	2 0 8
73.6	26	3 1 4
75.5	11	1 1 12
78.1	11	2 2 8

[2]
Calculated powder diffraction line list of Ga2B2F7 for Cu Kα, 1.54184 Å, from a DFT-relaxed cell (GGA-PBE, Alexandria).
Neutral-atom scattering factors, no anomalous dispersion.

Crystal structure
```
data_Ga2B2F7
_chemical_formula_sum 'Ga4 B4 F14'
_cell_length_a 6.508
_cell_length_b 10.196
_cell_length_c 6.153
_cell_angle_alpha 90.00
_cell_angle_beta 111.78
_cell_angle_gamma 90.00
_space_group_name_H-M_alt 'C 1 2/m 1'
_space_group_IT_number 12
loop_
_space_group_symop_operation_xyz
'x,y,z'
'-x,-y,-z'
'-x,y,-z'
'x,-y,z'
'x+1/2,y+1/2,z'
'-x+1/2,-y+1/2,-z'
'-x+1/2,y+1/2,-z'
'x+1/2,-y+1/2,z'
loop_
_atom_site_label
_atom_site_fract_x
_atom_site_fract_y
_atom_site_fract_z
_atom_site_occupancy
Ga1 0.000 0.238 0.000 1
B1 0.240 0.500 0.501 1
F1 0.000 0.500 0.500 1
F2 0.126 0.000 0.263 1
F3 0.248 0.114 0.614 1
```

Peak list (10 most intense, 2θ = 15–90°, by angle)
2theta	intensity	index
23.4	100	0 2 1
27.8	50	2 0 -1
31.3	17	0 0 2
34.5	22	2 2 0
36.0	18	0 2 2
38.7	32	0 4 1
42.6	21	2 2 1
46.6	18	2 4 0
47.8	11	0 0 3
49.5	12	2 2 -3

[3]
Calculated powder diffraction line list of Rb2GaBF6 for Cu Kα, 1.54184 Å, from a DFT-relaxed cell (GGA-PBE, Alexandria).
Neutral-atom scattering factors, no anomalous dispersion.

Crystal structure
```
data_Rb2GaBF6
_chemical_formula_sum 'Rb4 Ga2 B2 F12'
_cell_length_a 6.033
_cell_length_b 6.033
_cell_length_c 8.564
_cell_angle_alpha 90.00
_cell_angle_beta 90.00
_cell_angle_gamma 90.00
_space_group_name_H-M_alt 'I 4/m m m'
_space_group_IT_number 139
_space_group_name_Hall '-I 4 2'
loop_
_atom_site_label
_atom_site_fract_x
_atom_site_fract_y
_atom_site_fract_z
_atom_site_occupancy
Rb1 0.000 0.500 0.250 1
Ga1 0.000 0.000 0.000 1
B1 0.000 0.000 0.500 1
F1 0.000 0.000 0.227 1
F2 0.228 0.228 0.000 1
```

Peak list (10 most intense, 2θ = 15–90°, by angle)
2theta	intensity	index
18.0	31	1 0 1
29.6	100	2 0 0
36.4	33	2 0 2
42.2	17	0 0 4
42.4	34	2 2 0
52.4	13	2 0 4
52.5	25	3 1 2
61.4	20	2 2 4
69.7	13	4 2 0
85.0	15	5 1 2

[4]
Calculated powder diffraction line list of Gd3B2O6F3 for Cu Kα, 1.54184 Å, from a DFT-relaxed cell (GGA-PBE, Alexandria).
Neutral-atom scattering factors, no anomalous dispersion.

Crystal structure
```
data_Gd3B2O6F3
_chemical_formula_sum 'Gd12 B8 O24 F12'
_cell_length_a 12.887
_cell_length_b 6.255
_cell_length_c 8.325
_cell_angle_alpha 90.00
_cell_angle_beta 97.36
_cell_angle_gamma 90.00
_space_group_name_H-M_alt 'C 1 2/c 1'
_space_group_IT_number 15
loop_
_space_group_symop_operation_xyz
'x,y,z'
'-x,-y,-z'
'-x,y,-z+1/2'
'x,-y,z+1/2'
'x+1/2,y+1/2,z'
'-x+1/2,-y+1/2,-z'
'-x+1/2,y+1/2,-z+1/2'
'x+1/2,-y+1/2,z+1/2'
loop_
_atom_site_label
_atom_site_fract_x
_atom_site_fract_y
_atom_site_fract_z
_atom_site_occupancy
Gd1 0.000 0.100 0.250 1
Gd2 0.177 0.395 0.679 1
B1 0.180 0.094 0.022 1
O1 0.147 0.107 0.857 1
O2 0.150 0.229 0.138 1
O3 0.240 0.447 0.427 1
F1 0.000 0.477 0.250 1
F2 0.053 0.180 0.538 1
```

Peak list (10 most intense, 2θ = 15–90°, by angle)
2theta	intensity	index
21.5	70	0 0 2
25.3	100	3 1 0
26.4	52	3 1 -1
28.6	53	3 1 1
30.6	89	0 2 1
31.6	33	3 1 -2
33.2	33	4 0 -2
35.2	29	3 1 2
46.0	31	1 1 -4
50.6	55	3 3 1

[5]
Calculated powder diffraction line list of BH2F for Cu Kα, 1.54184 Å, from a DFT-relaxed cell (GGA-PBE, Alexandria).
Neutral-atom scattering factors, no anomalous dispersion.

Crystal structure
```
data_BH2F
_chemical_formula_sum 'B4 H8 F4'
_cell_length_a 3.055
_cell_length_b 4.789
_cell_length_c 13.221
_cell_angle_alpha 90.00
_cell_angle_beta 90.00
_cell_angle_gamma 90.00
_space_group_name_H-M_alt 'P 21 21 21'
_space_group_IT_number 19
loop_
_space_group_symop_operation_xyz
'x,y,z'
'-x+1/2,-y,z+1/2'
'x+1/2,-y+1/2,-z'
'-x,y+1/2,-z+1/2'
loop_
_atom_site_label
_atom_site_fract_x
_atom_site_fract_y
_atom_site_fract_z
_atom_site_occupancy
B1 0.172 0.009 0.113 1
H1 0.013 0.506 0.468 1
H2 0.121 0.183 0.646 1
F1 0.151 0.244 0.167 1
```

Peak list (10 most intense, 2θ = 15–90°, by angle)
2theta	intensity	index
19.7	60	0 1 1
22.9	57	0 1 2
27.0	52	0 0 4
27.5	100	0 1 3
30.0	32	1 0 1
32.3	89	1 0 2
35.5	54	1 1 1
37.5	36	0 2 0
44.6	20	1 1 4
49.4	16	1 1 5

What did the second record say?
Calculated powder diffraction line list of Ga2B2F7 for Cu Kα, 1.54184 Å, from a DFT-relaxed cell (GGA-PBE, Alexandria).
Neutral-atom scattering factors, no anomalous dispersion.

Crystal structure
```
data_Ga2B2F7
_chemical_formula_sum 'Ga4 B4 F14'
_cell_length_a 6.508
_cell_length_b 10.196
_cell_length_c 6.153
_cell_angle_alpha 90.00
_cell_angle_beta 111.78
_cell_angle_gamma 90.00
_space_group_name_H-M_alt 'C 1 2/m 1'
_space_group_IT_number 12
loop_
_space_group_symop_operation_xyz
'x,y,z'
'-x,-y,-z'
'-x,y,-z'
'x,-y,z'
'x+1/2,y+1/2,z'
'-x+1/2,-y+1/2,-z'
'-x+1/2,y+1/2,-z'
'x+1/2,-y+1/2,z'
loop_
_atom_site_label
_atom_site_fract_x
_atom_site_fract_y
_atom_site_fract_z
_atom_site_occupancy
Ga1 0.000 0.238 0.000 1
B1 0.240 0.500 0.501 1
F1 0.000 0.500 0.500 1
F2 0.126 0.000 0.263 1
F3 0.248 0.114 0.614 1
```

Peak list (10 most intense, 2θ = 15–90°, by angle)
2theta	intensity	index
23.4	100	0 2 1
27.8	50	2 0 -1
31.3	17	0 0 2
34.5	22	2 2 0
36.0	18	0 2 2
38.7	32	0 4 1
42.6	21	2 2 1
46.6	18	2 4 0
47.8	11	0 0 3
49.5	12	2 2 -3